Record 1
Ba2ErGaSe5: simulated X-ray diffraction stick pattern (copper Kα), based on DFT lattice parameters and positions (GGA-PBE).
Lines closer than 0.1° are merged.

Principal peaks in the range 2θ = 10–90°, in order of rising 2θ:
d (Å)	intensity	(hkl)
4.649	25	1 0 1
3.200	100	2 -2 0
3.059	68	1 0 -3
2.967	46	2 -2 1
2.956	46	1 2 0
2.923	39	0 0 3
2.564	25	1 -2 3
2.553	25	0 2 2
2.209	44	-3 2 2
2.187	51	1 -4 1

Structural model:
Cell: 7.394 8.749 9.517 Å, 103.46 103.16 107.33°
Space group P-1 (No. 2)
Unique sites:
Ba1 0.133 0.478 0.288 (multiplicity 2)
Ba2 0.156 0.989 0.292 (multiplicity 2)
Er1 0.498 0.230 0.999 (multiplicity 2)
Ga1 0.306 0.372 0.688 (multiplicity 2)
Se1 0.011 0.758 0.507 (multiplicity 2)
Se2 0.208 0.912 0.945 (multiplicity 2)
Se3 0.215 0.410 0.929 (multiplicity 2)
Se4 0.484 0.655 0.689 (multiplicity 2)
Se5 0.488 0.182 0.687 (multiplicity 2)


Record 2
TmCo3P2: simulated X-ray diffraction stick pattern (copper Kα), based on DFT lattice parameters and positions (GGA-PBE).
Lines closer than 0.1° are merged.

Principal peaks in the range 2θ = 10–90°, in order of rising 2θ:
d (Å)	intensity	(hkl)
3.020	12	0 0 4
2.906	9	1 2 1
2.402	9	0 4 2
2.328	100	1 3 2
2.273	9	1 1 4
2.194	13	0 2 5
1.828	19	2 0 0
1.743	21	0 6 0
1.261	14	2 6 0
1.130	10	3 3 2

Structural model:
Cell: 3.655 10.455 12.085 Å, 90.00 90.00 90.00°
Space group Pmmn (No. 59, origin choice 2)
Unique sites:
Tm1 0.250 0.067 0.206 (multiplicity 4)
Tm2 0.250 0.250 0.477 (multiplicity 2)
Co1 0.250 0.129 0.709 (multiplicity 4)
Co2 0.250 0.250 0.014 (multiplicity 2)
Co3 0.250 0.547 0.431 (multiplicity 4)
Co4 0.250 0.584 0.994 (multiplicity 4)
Co5 0.250 0.750 0.160 (multiplicity 2)
Co6 0.250 0.750 0.703 (multiplicity 2)
P1 0.250 0.098 0.892 (multiplicity 4)
P2 0.250 0.562 0.617 (multiplicity 4)
P3 0.250 0.750 0.346 (multiplicity 2)
P4 0.250 0.750 0.882 (multiplicity 2)


Record 3
TmTi2Ga4: simulated X-ray diffraction stick pattern (copper Kα), based on DFT lattice parameters and positions (GGA-PBE).
Lines closer than 0.1° are merged.

Principal peaks in the range 2θ = 10–90°, in order of rising 2θ:
d (Å)	intensity	(hkl)
2.717	31	0 0 2
2.637	100	2 1 1
2.385	64	2 2 0
2.361	53	1 1 2
2.077	72	3 0 1
1.792	19	2 2 2
1.553	20	2 1 3
1.411	20	3 0 3
1.372	23	3 3 2
1.220	24	5 2 1

Structural model:
Cell: 6.744 6.744 5.435 Å, 90.00 90.00 90.00°
Space group I4/mmm (No. 139)
Unique sites:
Tm1 0.000 0.000 0.000 (multiplicity 2)
Ti1 0.000 0.500 0.250 (multiplicity 4)
Ga1 0.198 0.198 0.500 (multiplicity 8)